Entry 1:
The following is a calculated powder diffraction line list of Ce2NCl3. It was derived from a structure optimized by DFT (PBE), using Cu Kα (weighted mean of Kα1 and Kα2).
Neutral-atom scattering factors, no anomalous dispersion.

Cell lengths 6.8733, 13.7870, 6.0887 Å; angles 90.00, 90.00, 90.00 degrees
Space group Ibam (No. 72)
Inequivalent atoms, fractional coordinates:
Ce (0.1746, 0.0935, 0.0000)
N (0.0000, 0.0000, 0.2500)
Cl (0.0000, 0.5000, 0.2500)
Cl (0.1838, 0.1988, 0.5000)

Main lines, by angle (15 to 90 degrees two-theta):
hkl	two_theta	I_rel
1 2 1	23.4	100
2 0 0	25.9	23
0 0 2	29.3	37
1 4 1	32.6	71
1 1 2	32.8	23
2 3 1	35.8	60
2 0 2	39.5	42
3 1 0	39.9	26

---

Entry 2:
The following is a calculated powder diffraction line list of K2PdBr4. It was derived from a structure optimized by DFT (PBE), using Cu Kα (weighted mean of Kα1 and Kα2).
Neutral-atom scattering factors, no anomalous dispersion.

Cell lengths 7.5406, 7.5406, 4.4517 Å; angles 90.00, 90.00, 90.00 degrees
Space group P4/mmm (No. 123)
Inequivalent atoms, fractional coordinates:
K (0.0000, 0.5000, 0.0000)
Pd (0.0000, 0.0000, 0.5000)
Br (0.2323, 0.2323, 0.5000)

Main lines, by angle (15 to 90 degrees two-theta):
hkl	two_theta	I_rel
0 0 1	19.9	94
1 0 1	23.2	44
1 1 1	26.1	60
2 0 1	31.1	85
2 2 0	33.6	100
2 2 1	39.4	59
4 0 0	48.3	32
2 2 2	53.6	50

---

Entry 3:
The following is a calculated powder diffraction line list of Mg2Si. It was derived from a structure optimized by DFT (PBE), using Cu Kα (weighted mean of Kα1 and Kα2).
Neutral-atom scattering factors, no anomalous dispersion.

Cell lengths 5.5167, 6.9162, 7.7297 Å; angles 95.53, 110.77, 111.82 degrees
Space group P1 (No. 1)
Inequivalent atoms, fractional coordinates:
Mg (0.0000, 0.0000, 0.0000)
Mg (0.0063, 0.3048, 0.7076)
Mg (0.1540, 0.5071, 0.1451)
Mg (0.3036, 0.2074, 0.4452)
Mg (0.4288, 0.7913, 0.5698)
Mg (0.5335, 0.1949, 0.8872)
Mg (0.6326, 0.9944, 0.2646)
Mg (0.7672, 0.5114, 0.3520)
Si (0.2713, 0.7725, 0.8837)
Si (0.5898, 0.6003, 0.0032)
Si (0.7471, 0.5641, 0.7457)
Si (0.9918, 0.9140, 0.6030)

Main lines, by angle (15 to 90 degrees two-theta):
hkl	two_theta	I_rel
1 -1 2	35.0	66
1 0 -3	35.2	100
1 1 1	36.1	61
-1 2 2	36.9	90
1 1 -3	37.4	68
-2 2 2	39.8	62
1 -3 1	40.3	77
1 2 0	41.5	93

---

Entry 4:
The following is a calculated powder diffraction line list of CdIrO3. It was derived from a structure optimized by DFT (PBE), using Cu Kα (weighted mean of Kα1 and Kα2).
Neutral-atom scattering factors, no anomalous dispersion.

Cell lengths 5.4621, 5.4621, 15.0281 Å; angles 90.00, 90.00, 120.00 degrees
Space group R-3 (No. 148, hexagonal axes)
Inequivalent atoms, fractional coordinates:
Cd (0.0000, 0.0000, 0.1305)
Ir (0.0000, 0.0000, 0.3388)
O (0.0140, 0.3844, 0.9273)

Main lines, by angle (15 to 90 degrees two-theta):
hkl	two_theta	I_rel
0 0 3	17.7	22
0 1 2	22.2	32
1 0 4	30.4	79
1 1 0	32.8	100
0 2 4	45.3	29
1 1 6	49.4	42
2 1 4	57.0	28
3 0 0	58.5	27

---

Entry 5:
The following is a calculated powder diffraction line list of Sm11Y5O24. It was derived from a structure optimized by DFT (PBE), using Cu Kα (weighted mean of Kα1 and Kα2).
Neutral-atom scattering factors, no anomalous dispersion.

Cell lengths 9.4448, 9.4457, 9.4570 Å; angles 109.47, 109.48, 109.41 degrees
Space group P1 (No. 1)
Inequivalent atoms, fractional coordinates:
Sm (0.0000, 0.0000, 0.0000)
Sm (0.0030, 0.4992, 0.4989)
Sm (0.0334, 0.8129, 0.2820)
Sm (0.2519, 0.2819, 0.5313)
Sm (0.2566, 0.7834, 0.0350)
Sm (0.2846, 0.0316, 0.8126)
Sm (0.5329, 0.3133, 0.2812)
Sm (0.7180, 0.5307, 0.7503)
Sm (0.7460, 0.7816, 0.5293)
Sm (0.7519, 0.2792, 0.0305)
Sm (0.9704, 0.2507, 0.7811)
Y (0.2218, 0.5335, 0.2504)
Y (0.4696, 0.7490, 0.7819)
Y (0.5016, 0.0617, 0.5631)
Y (0.5019, 0.5657, 0.0644)
Y (0.7820, 0.0300, 0.3123)
O (0.0066, 0.0520, 0.2612)
O (0.0197, 0.0203, 0.7577)
O (0.0203, 0.2893, 0.5689)
O (0.2154, 0.7504, 0.7629)
O (0.2255, 0.5124, 0.9931)
O (0.2447, 0.0421, 0.5614)
O (0.2691, 0.5263, 0.5014)
O (0.2808, 0.0514, 0.0721)
O (0.2975, 0.8113, 0.3064)
O (0.4776, 0.5411, 0.2984)
O (0.4806, 0.2659, 0.4900)
O (0.4889, 0.5132, 0.8046)
O (0.5126, 0.3160, 0.0196)
O (0.5230, 0.0064, 0.7871)
O (0.5269, 0.8238, 0.0619)
O (0.7061, 0.0116, 0.5150)
O (0.7174, 0.7929, 0.7720)
O (0.7385, 0.2351, 0.2588)
O (0.7582, 0.3177, 0.7993)
O (0.7779, 0.7697, 0.2887)
O (0.7930, 0.5539, 0.5431)
O (0.9830, 0.5502, 0.2703)
O (0.9826, 0.7390, 0.0019)
O (0.9982, 0.2570, 0.0474)

Main lines, by angle (15 to 90 degrees two-theta):
hkl	two_theta	I_rel
0 1 1	19.9	12
1 1 -3	28.3	100
2 -2 2	32.8	32
1 3 -2	34.9	6
3 1 0	42.2	8
0 0 4	47.1	41
1 -3 5	55.9	33
2 2 -6	58.6	6

---

Entry 6:
The following is a calculated powder diffraction line list of BaIn2Se4. It was derived from a structure optimized by DFT (PBE), using Cu Kα (weighted mean of Kα1 and Kα2).
Neutral-atom scattering factors, no anomalous dispersion.

Cell lengths 13.8092, 22.9722, 23.3323 Å; angles 90.00, 90.00, 90.00 degrees
Space group Fddd (No. 70, origin choice 2)
Inequivalent atoms, fractional coordinates:
Ba (0.1250, 0.1250, 0.1250)
Ba (0.1250, 0.1250, 0.3728)
Ba (0.1250, 0.1250, 0.6250)
In (0.0866, 0.3044, 0.2499)
In (0.1254, 0.2620, 0.4993)
Se (0.0015, 0.9998, 0.5855)
Se (0.0009, 0.9999, 0.9141)
Se (0.0041, 0.0935, 0.2490)
Se (0.0178, 0.0842, 0.7514)

Main lines, by angle (15 to 90 degrees two-theta):
hkl	two_theta	I_rel
0 0 4	15.2	28
2 2 4	21.4	63
2 6 0	26.6	37
2 2 6	27.5	36
2 6 2	27.7	40
0 0 8	30.7	36
4 4 4	34.0	100
0 0 12	46.7	23

---

Entry 7:
The following is a calculated powder diffraction line list of Si4Ag10O13. It was derived from a structure optimized by DFT (PBE), using Cu Kα (weighted mean of Kα1 and Kα2).
Neutral-atom scattering factors, no anomalous dispersion.

Cell lengths 8.1121, 9.3849, 11.6017 Å; angles 113.41, 98.37, 100.58 degrees
Space group P-1 (No. 2)
Inequivalent atoms, fractional coordinates:
Si (0.0573, 0.4844, 0.2503)
Si (0.2320, 0.0806, 0.7550)
Si (0.2789, 0.4207, 0.7554)
Si (0.4167, 0.0236, 0.2513)
Ag (0.0609, 0.7318, 0.0840)
Ag (0.0766, 0.1241, 0.1610)
Ag (0.1329, 0.2372, 0.4480)
Ag (0.1659, 0.6285, 0.5673)
Ag (0.1798, 0.9210, 0.4305)
Ag (0.2862, 0.8287, 0.9299)
Ag (0.3409, 0.5908, 0.0834)
Ag (0.3492, 0.2685, 0.0714)
Ag (0.3892, 0.4062, 0.3584)
Ag (0.4860, 0.8184, 0.4290)
O (0.0617, 0.6764, 0.7439)
O (0.0667, 0.3889, 0.7451)
O (0.0947, 0.9765, 0.6132)
O (0.1200, 0.4322, 0.1144)
O (0.1436, 0.1064, 0.8766)
O (0.2246, 0.5820, 0.3771)
O (0.3142, 0.0313, 0.1207)
O (0.3166, 0.8617, 0.2653)
O (0.3254, 0.4334, 0.6269)
O (0.3307, 0.2594, 0.7635)
O (0.3839, 0.5792, 0.8902)
O (0.3871, 0.9913, 0.7682)
O (0.4336, 0.1900, 0.3804)

Main lines, by angle (15 to 90 degrees two-theta):
hkl	two_theta	I_rel
0 0 2	17.2	23
1 0 3	30.9	20
1 1 -4	31.6	64
1 3 -2	33.1	100
2 -3 1	33.4	84
3 0 -1	33.7	53
2 -1 3	35.3	31
-3 2 3	45.3	22

---

Entry 8:
The following is a calculated powder diffraction line list of MnPS3. It was derived from a structure optimized by DFT (PBE), using Cu Kα (weighted mean of Kα1 and Kα2).
Neutral-atom scattering factors, no anomalous dispersion.

Cell lengths 6.0680, 10.5087, 7.3459 Å; angles 90.00, 105.78, 90.00 degrees
Space group C2/m (No. 12)
Inequivalent atoms, fractional coordinates:
Mn (0.0000, 0.1673, 0.0000)
P (0.0515, 0.5000, 0.1561)
S (0.2379, 0.3372, 0.2284)
S (0.2491, 0.0000, 0.2282)

Main lines, by angle (15 to 90 degrees two-theta):
hkl	two_theta	I_rel
0 0 2	25.2	8
2 0 -1	29.7	34
1 3 1	34.1	100
1 3 2	42.1	10
1 3 -3	45.5	15
0 6 0	52.2	34
3 3 0	53.9	13
2 6 -2	63.9	8

---

Entry 9:
The following is a calculated powder diffraction line list of Tm2GeO5. It was derived from a structure optimized by DFT (PBE), using Cu Kα (weighted mean of Kα1 and Kα2).
Neutral-atom scattering factors, no anomalous dispersion.

Cell lengths 14.8356, 6.8074, 10.3710 Å; angles 90.00, 121.83, 90.00 degrees
Space group C2/c (No. 15)
Inequivalent atoms, fractional coordinates:
Tm (0.0346, 0.2404, 0.4654)
Tm (0.1364, 0.1281, 0.8370)
Ge (0.1852, 0.4065, 0.3095)
O (0.0172, 0.0981, 0.8978)
O (0.0813, 0.4970, 0.1331)
O (0.1157, 0.1997, 0.3234)
O (0.1942, 0.1536, 0.6748)
O (0.2046, 0.4228, 0.9497)

Main lines, by angle (15 to 90 degrees two-theta):
hkl	two_theta	I_rel
3 1 -1	22.2	45
4 0 -2	24.6	49
0 2 1	28.1	58
3 1 -3	29.4	74
2 2 0	29.8	28
2 0 2	30.3	100
5 1 -1	34.1	46
2 2 -3	37.1	28